Structure and simulated powder X-ray diffraction pattern of HoTa7O19 (a GGA-PBE-relaxed structure; Cu Kα X-rays).
Kinematic intensities with the Lorentz-polarization factor, no thermal factor.

Top 12 peaks for 2θ = 10–90°, in order of falling intensity:
hkl  Position (°2θ)  I/Imax
1 1 1  28.9  100
0 0 6  26.6  66
1 1 4  33.7  53
1 1 5  36.4  51
1 1 2  29.9  44
3 0 0  50.5  41
3 0 6  58.0  40
1 0 0  16.3  33
1 1 10  54.2  24
0 0 4  17.7  24
1 1 11  58.5  19
1 1 7  42.7  13

Structure:
```
HoTa7O19
1.0
6.264 0.000 0.000
-3.132 5.424 0.000
0.000 0.000 20.093
Ho Ta O
2 14 38
direct
0.000 0.000 0.000 Ho
0.000 0.000 0.500 Ho
0.027 0.333 0.155 Ta
0.027 0.333 0.345 Ta
0.027 0.694 0.655 Ta
0.027 0.694 0.845 Ta
0.306 0.333 0.655 Ta
0.306 0.333 0.845 Ta
0.306 0.973 0.155 Ta
0.306 0.973 0.345 Ta
0.333 0.667 0.000 Ta
0.333 0.667 0.500 Ta
0.667 0.694 0.155 Ta
0.667 0.694 0.345 Ta
0.667 0.973 0.655 Ta
0.667 0.973 0.845 Ta
0.000 0.000 0.131 O
0.000 0.000 0.369 O
0.000 0.000 0.631 O
0.000 0.000 0.869 O
0.040 0.291 0.250 O
0.040 0.750 0.750 O
0.094 0.377 0.055 O
0.094 0.377 0.445 O
0.094 0.717 0.555 O
0.094 0.717 0.945 O
0.250 0.291 0.750 O
0.250 0.960 0.250 O
0.283 0.377 0.555 O
0.283 0.377 0.945 O
0.283 0.906 0.055 O
0.283 0.906 0.445 O
0.333 0.667 0.166 O
0.333 0.667 0.334 O
0.333 0.667 0.666 O
0.333 0.667 0.834 O
0.419 0.086 0.653 O
0.419 0.086 0.847 O
0.419 0.334 0.153 O
0.419 0.334 0.347 O
0.623 0.717 0.055 O
0.623 0.717 0.445 O
0.623 0.906 0.555 O
0.623 0.906 0.945 O
0.666 0.086 0.153 O
0.666 0.086 0.347 O
0.666 0.581 0.653 O
0.666 0.581 0.847 O
0.709 0.750 0.250 O
0.709 0.960 0.750 O
0.914 0.334 0.653 O
0.914 0.334 0.847 O
0.914 0.581 0.153 O
0.914 0.581 0.347 O
```